Computed powder XRD pattern of Y5ThS6 for CuKα, from a crystal structure in Alexandria, relaxed with PBE.
Neutral-atom scattering factors, no anomalous dispersion.

Peak list (10 most intense, 15° ≤ 2θ ≤ 90°, by intensity)
| two_theta | I_rel | hkl |
| --- | --- | --- |
| 32.1 | 100 | 1 3 1 |
| 27.7 | 43 | 0 0 2 |
| 46.0 | 35 | 0 6 0 |
| 46.1 | 35 | 2 0 2 |
| 54.6 | 18 | 2 6 0 |
| 57.2 | 18 | 0 0 4 |
| 27.8 | 14 | 2 0 0 |
| 76.3 | 11 | 0 6 4 |
| 76.5 | 10 | 4 6 0 |
| 85.2 | 10 | 4 6 -4 |

Atomic structure:
```
data_Y5ThS6
_symmetry_space_group_name_H-M 'C 1 2/m 1'
_symmetry_Int_Tables_number 12
_cell_length_a 6.8121
_cell_length_b 11.8368
_cell_length_c 6.8394
_cell_angle_alpha 90.00
_cell_angle_beta 109.65
_cell_angle_gamma 90.00
loop_
_symmetry_equiv_pos_as_xyz
'x,y,z'
'-x,-y,-z'
'-x,y,-z'
'x,-y,z'
'x+1/2,y+1/2,z'
'-x+1/2,-y+1/2,-z'
'-x+1/2,y+1/2,-z'
'x+1/2,-y+1/2,z'
loop_
_atom_site_label
_atom_site_fract_x
_atom_site_fract_y
_atom_site_fract_z
Y1 0.0000 0.0000 0.0000
Y2 0.0000 0.1666 0.5000
Y3 0.0000 0.3340 0.0000
Th1 0.0000 0.5000 0.5000
S1 0.2452 0.0000 0.7540
S2 0.2456 0.1698 0.2459
```



Computed powder XRD pattern of Y4Th3S8 for CuKα, from a crystal structure in Alexandria, relaxed with PBE.
Neutral-atom scattering factors, no anomalous dispersion.

Peak list (10 most intense, 15° ≤ 2θ ≤ 90°, by intensity)
| two_theta | I_rel | hkl |
| --- | --- | --- |
| 31.9 | 100 | 0 4 0 |
| 27.5 | 66 | 2 2 0 |
| 45.7 | 60 | 4 0 0 |
| 15.8 | 29 | 2 0 -1 |
| 22.4 | 27 | 0 2 1 |
| 54.2 | 22 | 2 6 0 |
| 75.8 | 19 | 0 8 2 |
| 35.8 | 17 | 2 0 1 |
| 56.7 | 13 | 4 4 0 |
| 56.9 | 12 | 4 4 -4 |

Atomic structure:
```
data_Y4Th3S8
_symmetry_space_group_name_H-M 'C 1 2/m 1'
_symmetry_Int_Tables_number 12
_cell_length_a 11.2211
_cell_length_b 11.2275
_cell_length_c 7.9289
_cell_angle_alpha 90.00
_cell_angle_beta 134.87
_cell_angle_gamma 90.00
loop_
_symmetry_equiv_pos_as_xyz
'x,y,z'
'-x,-y,-z'
'-x,y,-z'
'x,-y,z'
'x+1/2,y+1/2,z'
'-x+1/2,-y+1/2,-z'
'-x+1/2,y+1/2,-z'
'x+1/2,-y+1/2,z'
loop_
_atom_site_label
_atom_site_fract_x
_atom_site_fract_y
_atom_site_fract_z
Y1 0.0000 0.0000 0.0000
Y2 0.0000 0.0000 0.5000
Y3 0.2500 0.2500 0.0000
Th1 0.0000 0.5000 0.0000
Th2 0.2500 0.2500 0.5000
S1 0.0000 0.2456 0.0000
S2 0.0000 0.2494 0.5000
S3 0.2463 0.0000 0.4919
S4 0.2457 0.0000 0.9974
```



Computed powder XRD pattern of YTh2S3 for CuKα, from a crystal structure in Alexandria, relaxed with PBE.
Neutral-atom scattering factors, no anomalous dispersion.

Peak list (10 most intense, 15° ≤ 2θ ≤ 90°, by intensity)
| two_theta | I_rel | hkl |
| --- | --- | --- |
| 31.6 | 100 | 1 1 0 |
| 27.3 | 89 | 1 0 3 |
| 45.2 | 73 | 2 0 0 |
| 53.6 | 45 | 2 1 3 |
| 56.2 | 26 | 2 0 6 |
| 74.9 | 22 | 3 1 0 |
| 72.7 | 18 | 3 0 3 |
| 83.5 | 17 | 3 1 6 |
| 89.9 | 11 | 3 2 3 |
| 22.8 | 11 | 1 0 1 |

Atomic structure:
```
data_YTh2S3
_symmetry_space_group_name_H-M 'I 4/m m m'
_symmetry_Int_Tables_number 139
_symmetry_space_group_name_Hall '-I 4 2'
_cell_length_a 4.0112
_cell_length_b 4.0112
_cell_length_c 16.9779
_cell_angle_alpha 90.00
_cell_angle_beta 90.00
_cell_angle_gamma 90.00
loop_
_atom_site_label
_atom_site_fract_x
_atom_site_fract_y
_atom_site_fract_z
Y1 0.0000 0.0000 0.0000
Th1 0.0000 0.0000 0.3316
S1 0.0000 0.0000 0.1622
S2 0.0000 0.0000 0.5000
```



Computed powder XRD pattern of Y3ThS4 for CuKα, from a crystal structure in Alexandria, relaxed with PBE.
Neutral-atom scattering factors, no anomalous dispersion.

Peak list (10 most intense, 15° ≤ 2θ ≤ 90°, by intensity)
| two_theta | I_rel | hkl |
| --- | --- | --- |
| 32.0 | 100 | 2 0 1 |
| 45.9 | 47 | 2 4 1 |
| 27.5 | 32 | 2 2 0 |
| 27.8 | 31 | 0 2 1 |
| 76.2 | 21 | 4 4 2 |
| 54.3 | 16 | 4 2 1 |
| 56.8 | 12 | 4 4 0 |
| 57.4 | 12 | 0 4 2 |
| 45.6 | 12 | 4 0 0 |
| 46.3 | 12 | 0 0 2 |

Atomic structure:
```
data_Y3ThS4
_symmetry_space_group_name_H-M 'C m m m'
_symmetry_Int_Tables_number 65
_symmetry_space_group_name_Hall '-C 2 2'
_cell_length_a 7.9522
_cell_length_b 11.1874
_cell_length_c 3.9247
_cell_angle_alpha 90.00
_cell_angle_beta 90.00
_cell_angle_gamma 90.00
loop_
_atom_site_label
_atom_site_fract_x
_atom_site_fract_y
_atom_site_fract_z
Y1 0.0000 0.0000 0.0000
Y2 0.2500 0.2500 0.5000
Th1 0.0000 0.5000 0.0000
S1 0.0000 0.2459 0.0000
S2 0.2412 0.0000 0.5000
```



Computed powder XRD pattern of YThS4 for CuKα, from a crystal structure in Alexandria, relaxed with PBE.
Neutral-atom scattering factors, no anomalous dispersion.

Peak list (10 most intense, 15° ≤ 2θ ≤ 90°, by intensity)
| two_theta | I_rel | hkl |
| --- | --- | --- |
| 22.4 | 100 | 1 1 -1 |
| 23.2 | 88 | 1 1 1 |
| 26.4 | 39 | 2 0 0 |
| 26.1 | 39 | 0 0 2 |
| 26.6 | 38 | 0 2 0 |
| 18.6 | 37 | 0 1 1 |
| 37.6 | 35 | 0 2 2 |
| 37.8 | 34 | 2 2 0 |
| 44.8 | 29 | 1 1 3 |
| 43.4 | 29 | 1 1 -3 |

Atomic structure:
```
data_YThS4
_symmetry_space_group_name_H-M 'P 1 21/c 1'
_symmetry_Int_Tables_number 14
_cell_length_a 6.7624
_cell_length_b 6.6955
_cell_length_c 6.8393
_cell_angle_alpha 90.00
_cell_angle_beta 93.25
_cell_angle_gamma 90.00
loop_
_symmetry_equiv_pos_as_xyz
'x,y,z'
'-x,-y,-z'
'-x,y+1/2,-z+1/2'
'x,-y+1/2,z+1/2'
loop_
_atom_site_label
_atom_site_fract_x
_atom_site_fract_y
_atom_site_fract_z
Y1 0.0000 0.0000 0.0000
Th1 0.5000 0.0000 0.5000
S1 0.1237 0.1263 0.6284
S2 0.3545 0.6429 0.6467
```



Computed powder XRD pattern of TiS8 for CuKα, from a crystal structure in Alexandria, relaxed with PBE.
Neutral-atom scattering factors, no anomalous dispersion.

Peak list (10 most intense, 15° ≤ 2θ ≤ 90°, by intensity)
| two_theta | I_rel | hkl |
| --- | --- | --- |
| 23.0 | 100 | 2 0 0 |
| 16.1 | 55 | 0 2 0 |
| 33.3 | 37 | 1 3 3 |
| 28.2 | 26 | 2 2 0 |
| 47.2 | 23 | 1 5 3 |
| 42.6 | 20 | 1 3 5 |
| 23.9 | 19 | 1 1 3 |
| 58.6 | 16 | 3 5 3 |
| 47.4 | 12 | 3 3 3 |
| 26.4 | 12 | 2 0 2 |

Atomic structure:
```
data_TiS8
_symmetry_space_group_name_H-M 'F m m m'
_symmetry_Int_Tables_number 69
_symmetry_space_group_name_Hall '-F 2 2'
_cell_length_a 7.7341
_cell_length_b 11.0293
_cell_length_c 13.8105
_cell_angle_alpha 90.00
_cell_angle_beta 90.00
_cell_angle_gamma 90.00
loop_
_atom_site_label
_atom_site_fract_x
_atom_site_fract_y
_atom_site_fract_z
Ti1 0.0000 0.0000 0.0000
S1 0.0000 0.0000 0.3946
S2 0.0000 0.0959 0.1479
S3 0.0000 0.1401 0.5000
```